[1]
For Li2Ti2Mn3O10, a DFT-relaxed cell (GGA+U, the Materials Project) gives the calculated powder XRD pattern in this record (Cu Ka).

Most intense lines, 5° ≤ 2θ ≤ 70°, in order of rising 2θ:
2theta	intensity
12.04	984
17.81	417
18.12	1000
23.47	305
26.87	352
27.26	195
39.71	654
42.92	523
45.85	480
60.10	175

Unit cell a=5.0529 b=5.1560 c=7.7305 alpha=76.03 beta=76.77 gamma=81.52
Fractional coordinates of all 17 atoms:
Li: 0.0000 0.0000 0.0000
Li: 0.0305 0.5276 0.8094
Ti: 0.4999 0.9061 0.7269
Ti: 0.5195 0.6364 0.0884
Mn: 0.0169 0.7716 0.4037
Mn: 0.5045 0.0736 0.3035
Mn: 0.5317 0.4631 0.5117
O: 0.2623 0.9492 0.1892
O: 0.2894 0.6721 0.9239
O: 0.3012 0.2144 0.7502
O: 0.3060 0.8126 0.5321
O: 0.3089 0.4151 0.3422
O: 0.7006 0.2921 0.0942
O: 0.7191 0.1173 0.4724
O: 0.7435 0.8437 0.8913
O: 0.7461 0.7584 0.2574
O: 0.7872 0.5889 0.6173

=====

[2]
For Li2Mn2Si4O11, a DFT-relaxed cell (GGA+U, the Materials Project) gives the calculated powder XRD pattern in this record (Cu Ka).

Most intense lines, 5° ≤ 2θ ≤ 70°, in order of rising 2θ:
2theta	intensity
10.34	792
12.27	468
24.64	245
25.64	197
26.21	240
26.58	452
29.02	379
30.96	1000
31.38	675
51.84	247

Unit cell a=7.0547 b=7.6434 c=8.9526 alpha=100.06 beta=100.85 gamma=104.11
Fractional coordinates of all 38 atoms:
Li: 0.1087 0.2826 0.1939
Li: 0.3653 0.7557 0.8502
Li: 0.6347 0.2443 0.1498
Li: 0.8913 0.7174 0.8061
Mn: 0.1290 0.8806 0.6027
Mn: 0.3828 0.1271 0.3887
Mn: 0.6172 0.8729 0.6113
Mn: 0.8710 0.1194 0.3973
Si: 0.0237 0.7251 0.2264
Si: 0.2596 0.1145 0.9656
Si: 0.2656 0.4706 0.6011
Si: 0.4600 0.7282 0.2320
Si: 0.5400 0.2718 0.7680
Si: 0.7344 0.5294 0.3989
Si: 0.7404 0.8855 0.0344
Si: 0.9763 0.2749 0.7736
O: 0.0840 0.9102 0.3663
O: 0.1003 0.2416 0.9362
O: 0.1118 0.4536 0.7234
O: 0.1785 0.9090 0.8498
O: 0.1786 0.3133 0.4380
O: 0.2138 0.6574 0.1839
O: 0.3145 0.1325 0.1507
O: 0.3168 0.6876 0.5957
O: 0.4412 0.0842 0.6304
O: 0.4722 0.4429 0.7078
O: 0.4743 0.2363 0.9305
O: 0.5257 0.7637 0.0695
O: 0.5278 0.5571 0.2922
O: 0.5588 0.9158 0.3696
O: 0.6832 0.3124 0.4043
O: 0.6855 0.8675 0.8493
O: 0.7862 0.3426 0.8161
O: 0.8214 0.6867 0.5620
O: 0.8215 0.0910 0.1502
O: 0.8882 0.5464 0.2766
O: 0.8997 0.7584 0.0638
O: 0.9160 0.0898 0.6337

=====

[3]
For MgV2Ag2Hg2O8, a DFT-relaxed cell (GGA+U, the Materials Project) gives the calculated powder XRD pattern in this record (Cu Ka).

Most intense lines, 5° ≤ 2θ ≤ 70°, in order of rising 2θ:
2theta	intensity
16.53	949
21.65	547
27.47	895
27.59	590
27.91	777
28.82	647
29.14	688
29.28	1000
29.98	755
31.66	994

Unit cell a=6.1454 b=6.5313 c=7.4096 alpha=97.60 beta=94.20 gamma=117.98
Fractional coordinates of all 15 atoms:
Mg: 0.0000 0.0000 0.0000
V: 0.0747 0.3742 0.2608
V: 0.2927 0.9201 0.7515
Ag: 0.4579 0.0709 0.3047
Ag: 0.8996 0.3853 0.7270
Hg: 0.6357 0.5374 0.0046
Hg: 0.6860 0.7464 0.5026
O: 0.0698 0.1105 0.2887
O: 0.2986 0.6600 0.7255
O: 0.3508 0.0471 0.9867
O: 0.3839 0.6326 0.3041
O: 0.5021 0.1036 0.6262
O: 0.8605 0.4164 0.3746
O: 0.9773 0.8956 0.7174
O: 0.9812 0.3001 0.0218

=====

[4]
For V4Bi6PbO20, a DFT-relaxed cell (GGA+U, the Materials Project) gives the calculated powder XRD pattern in this record (Cu Ka).

Most intense lines, 5° ≤ 2θ ≤ 70°, in order of rising 2θ:
2theta	intensity
12.55	376
21.10	223
26.16	1000
26.32	274
26.62	660
26.99	665
30.84	309
31.27	451
31.52	530
34.75	373

Unit cell a=7.2503 b=8.0863 c=9.4760 alpha=106.28 beta=94.12 gamma=112.30
Fractional coordinates of all 31 atoms:
V: 0.0499 0.2733 0.2567
V: 0.3459 0.3962 0.7577
V: 0.6541 0.6038 0.2423
V: 0.9501 0.7267 0.7433
Bi: 0.2010 0.7097 0.1735
Bi: 0.3443 0.1253 0.0192
Bi: 0.4331 0.8012 0.5831
Bi: 0.5669 0.1988 0.4169
Bi: 0.6557 0.8747 0.9808
Bi: 0.7990 0.2903 0.8265
Pb: 0.0000 0.0000 0.5000
O: 0.0626 0.7992 0.9306
O: 0.1057 0.2479 0.7731
O: 0.1316 0.8327 0.6453
O: 0.1614 0.5215 0.3318
O: 0.2328 0.1808 0.2540
O: 0.3382 0.9073 0.3958
O: 0.3547 0.3047 0.5709
O: 0.3766 0.6330 0.8080
O: 0.4510 0.9683 0.1335
O: 0.4674 0.6235 0.1300
O: 0.5326 0.3765 0.8700
O: 0.5490 0.0317 0.8665
O: 0.6234 0.3670 0.1920
O: 0.6453 0.6953 0.4291
O: 0.6618 0.0927 0.6042
O: 0.7672 0.8192 0.7460
O: 0.8386 0.4785 0.6682
O: 0.8684 0.1673 0.3547
O: 0.8943 0.7521 0.2269
O: 0.9374 0.2008 0.0694

=====

[5]
For Li3Fe2Si2O8, a DFT-relaxed cell (GGA+U, the Materials Project) gives the calculated powder XRD pattern in this record (Cu Ka).

Most intense lines, 5° ≤ 2θ ≤ 70°, in order of rising 2θ:
2theta	intensity
16.00	644
23.79	1000
28.86	400
29.93	322
32.31	249
33.17	541
35.43	452
42.06	242
47.58	214
58.18	283

Unit cell a=5.0689 b=11.0815 c=6.1868 alpha=90.00 beta=90.09 gamma=90.00
Fractional coordinates of all 30 atoms:
Li: 0.0637 0.0000 0.2521
Li: 0.0811 0.0061 0.7465
Li: 0.4301 0.1730 0.2604
Li: 0.5699 0.6730 0.7396
Li: 0.9189 0.5061 0.2535
Li: 0.9363 0.5000 0.7479
Fe: 0.0887 0.7499 0.4830
Fe: 0.4304 0.4144 0.0015
Fe: 0.5696 0.9144 0.9985
Fe: 0.9113 0.2499 0.5170
Si: 0.0705 0.7462 0.9930
Si: 0.4143 0.4194 0.4961
Si: 0.5857 0.9194 0.5039
Si: 0.9295 0.2462 0.0070
O: 0.0077 0.1718 0.7915
O: 0.0390 0.1761 0.2232
O: 0.0526 0.3888 0.9982
O: 0.0905 0.4247 0.4980
O: 0.3950 0.7645 0.9765
O: 0.4737 0.9890 0.2755
O: 0.4759 0.7816 0.5063
O: 0.4755 0.9867 0.7285
O: 0.5241 0.2816 0.4937
O: 0.5245 0.4867 0.2715
O: 0.5263 0.4890 0.7245
O: 0.6050 0.2645 0.0235
O: 0.9095 0.9247 0.5020
O: 0.9474 0.8888 0.0018
O: 0.9610 0.6761 0.7768
O: 0.9923 0.6718 0.2085

=====

[6]
For LiCoGeO4, a DFT-relaxed cell (GGA+U, the Materials Project) gives the calculated powder XRD pattern in this record (Cu Ka).

Most intense lines, 5° ≤ 2θ ≤ 70°, in order of rising 2θ:
2theta	intensity
21.18	802
21.91	1000
27.44	213
31.71	288
32.99	210
34.91	318
36.32	420
55.63	221
58.12	206
69.63	202

Unit cell a=5.1407 b=5.4299 c=8.3583 alpha=90.00 beta=127.80 gamma=90.00
Fractional coordinates of all 14 atoms:
Li: 0.0000 0.1702 0.0000
Li: 0.0000 0.8298 0.5000
Co: 0.5069 0.1693 0.5064
Co: 0.5069 0.8307 0.0064
Ge: 0.7524 0.3200 0.2499
Ge: 0.7524 0.6800 0.7499
O: 0.1091 0.2717 0.2646
O: 0.1091 0.7283 0.7646
O: 0.4213 0.1572 0.0339
O: 0.4213 0.8428 0.5339
O: 0.6707 0.3613 0.7366
O: 0.6707 0.6387 0.2366
O: 0.8252 0.1738 0.4642
O: 0.8252 0.8262 0.9642

=====

[7]
For Tm6WO12, a DFT-relaxed cell (GGA+U, the Materials Project) gives the calculated powder XRD pattern in this record (Cu Ka).

Most intense lines, 5° ≤ 2θ ≤ 70°, in order of rising 2θ:
2theta	intensity
28.97	302
29.74	1000
34.25	468
34.48	58
48.72	246
49.72	266
57.69	107
58.58	229
59.02	130
61.77	100

Unit cell a=6.3938 b=6.3938 c=6.3938 alpha=98.71 beta=98.71 gamma=98.71
Fractional coordinates of all 19 atoms:
Tm: 0.1111 0.8188 0.6444
Tm: 0.1812 0.3556 0.8889
Tm: 0.3556 0.8889 0.1812
Tm: 0.6444 0.1111 0.8188
Tm: 0.8188 0.6444 0.1111
Tm: 0.8889 0.1812 0.3556
W: 0.5000 0.5000 0.5000
O: 0.0702 0.9099 0.3226
O: 0.0901 0.6774 0.9298
O: 0.1998 0.4207 0.5357
O: 0.3226 0.0702 0.9099
O: 0.4207 0.5357 0.1998
O: 0.4643 0.8002 0.5793
O: 0.5357 0.1998 0.4207
O: 0.5793 0.4643 0.8002
O: 0.6774 0.9298 0.0901
O: 0.8002 0.5793 0.4643
O: 0.9099 0.3226 0.0702
O: 0.9298 0.0901 0.6774

=====

[8]
For Li2CrNiO4, a DFT-relaxed cell (GGA+U, the Materials Project) gives the calculated powder XRD pattern in this record (Cu Ka).

Most intense lines, 5° ≤ 2θ ≤ 70°, in order of rising 2θ:
2theta	intensity
18.59	1000
36.00	271
36.10	164
37.70	189
43.71	261
43.86	516
47.96	131
58.03	100
63.65	350
66.92	98

Unit cell a=5.8481 b=5.8481 c=5.8481 alpha=120.22 beta=120.00 gamma=89.81
Fractional coordinates of all 16 atoms:
Li: 0.0000 0.0000 0.0000
Li: 0.5000 0.0000 0.0000
Li: 0.5000 0.0000 0.5000
Li: 0.5000 0.5000 0.5000
Cr: 0.0000 0.5000 0.5000
Cr: 0.5000 0.5000 0.0000
Ni: 0.0000 0.0000 0.5000
Ni: 0.0000 0.5000 0.0000
O: 0.2217 0.7375 0.4842
O: 0.2466 0.2625 0.9842
O: 0.2509 0.2697 0.5188
O: 0.2509 0.7320 0.9812
O: 0.7491 0.2680 0.0188
O: 0.7491 0.7303 0.4812
O: 0.7534 0.7375 0.0158
O: 0.7783 0.2625 0.5158

=====

[9]
For K2RbCoF6, a DFT-relaxed cell (GGA+U, the Materials Project) gives the calculated powder XRD pattern in this record (Cu Ka).

Most intense lines, 5° ≤ 2θ ≤ 70°, in order of rising 2θ:
2theta	intensity
19.83	368
28.19	1000
40.29	485
44.08	65
45.29	115
49.89	317
53.15	32
58.29	255
62.20	53
65.98	208

Unit cell a=6.3320 b=6.3320 c=6.3320 alpha=60.00 beta=60.00 gamma=60.00
Fractional coordinates of all 10 atoms:
K: 0.2500 0.2500 0.2500
K: 0.7500 0.7500 0.7500
Rb: 0.0000 0.0000 0.0000
Co: 0.5000 0.5000 0.5000
F: 0.2913 0.2913 0.7087
F: 0.2913 0.7087 0.2913
F: 0.2913 0.7087 0.7087
F: 0.7087 0.2913 0.2913
F: 0.7087 0.2913 0.7087
F: 0.7087 0.7087 0.2913